Theoretical X-ray diffraction stick pattern
Compound: Na2Mn2CrS6
Radiation: Cu Ka
Structure: a crystal structure in Alexandria, relaxed with GGA-PBE
Lines closer than 0.1° are merged.

Most intense lines, 15° ≤ 2θ ≤ 90°, in order of rising 2θ:
| 2θ (°) | d (Å) | Rel. int. |
| --- | --- | --- |
| 30.31 | 2.948 | 8 |
| 34.98 | 2.565 | 100 |
| 43.71 | 2.071 | 23 |
| 47.24 | 1.924 | 28 |
| 53.23 | 1.721 | 30 |
| 55.02 | 1.669 | 7 |
| 55.12 | 1.666 | 7 |
| 59.19 | 1.561 | 12 |
| 65.25 | 1.430 | 9 |
| 65.38 | 1.427 | 4 |
| 73.89 | 1.283 | 7 |
| 89.10 | 1.099 | 8 |

Structure:
```
Na2Mn2CrS6
1.0
2.9774 -5.1676 0.0000
2.9774 5.1676 0.0000
-1.9907 0.0000 6.7193
Na Mn Cr S
2 2 1 6
direct
0.1652 0.8348 0.0000 Na
0.8348 0.1652 0.0000 Na
0.3327 0.6673 0.5000 Mn
0.6673 0.3327 0.5000 Mn
0.0000 0.0000 0.5000 Cr
0.0637 0.4023 0.6921 S
0.2744 0.2744 0.3067 S
0.4023 0.0637 0.6921 S
0.5977 0.9363 0.3079 S
0.7256 0.7256 0.6933 S
0.9363 0.5977 0.3079 S
```